[1]
This entry pairs a crystal structure of ThPd6Au5 with its calculated XRD peak list. Radiation: copper Kα. Structure: the GGA-PBE geometry in Alexandria.
Neutral-atom scattering factors, no anomalous dispersion.

Top 10 peaks for 2θ = 5–70°, in order of falling intensity:
2θ (°)	I/Imax	index
37.78	100	1 2 3
41.76	19	2 0 0
42.57	18	0 0 6
47.23	13	0 4 0
61.16	12	2 0 6
64.85	10	2 4 0
65.45	10	0 4 6
29.47	9	1 0 3
23.11	8	0 2 0
56.65	3	1 4 3

Structure:
abc: 4.326 7.699 12.742
angles: 90.00 90.00 90.00
Space group Immm (No. 71)
Unique sites:
Th: 0.000 0.000 0.000 [2 per cell]
Pd: 0.000 0.242 0.500 [4 per cell]
Pd: 0.000 0.252 0.167 [8 per cell]
Au: 0.000 0.000 0.332 [4 per cell]
Au: 0.000 0.500 0.000 [2 per cell]
Au: 0.000 0.500 0.331 [4 per cell]


[2]
This entry pairs a crystal structure of BaPa2AgS7 with its calculated XRD peak list. Radiation: copper Kα. Structure: the GGA-PBE geometry in Alexandria.
Neutral-atom scattering factors, no anomalous dispersion.

Top 10 peaks for 2θ = 5–70°, in order of falling intensity:
2θ (°)	I/Imax	index
21.17	100	1 0 3
34.09	66	2 0 0
17.39	48	1 0 1
27.25	44	1 0 5
49.16	42	2 0 8
40.48	39	2 1 3
23.93	35	1 1 0
34.32	30	0 0 8
44.18	25	2 1 5
48.99	23	2 2 0

Structure:
abc: 5.259 5.259 20.901
angles: 90.00 90.00 90.00
Space group I-4m2 (No. 119)
Unique sites:
Ba: 0.000 0.000 0.000 [2 per cell]
Pa: 0.000 0.000 0.373 [4 per cell]
Ag: 0.000 0.500 0.250 [2 per cell]
S: 0.000 0.000 0.252 [4 per cell]
S: 0.000 0.000 0.500 [2 per cell]
S: 0.000 0.500 0.113 [4 per cell]
S: 0.000 0.500 0.606 [4 per cell]


[3]
This entry pairs a crystal structure of ZrSnS with its calculated XRD peak list. Radiation: copper Kα. Structure: the GGA-PBE geometry in Alexandria.
Neutral-atom scattering factors, no anomalous dispersion.

Top 10 peaks for 2θ = 5–70°, in order of falling intensity:
2θ (°)	I/Imax	index
40.45	100	2 2 2
33.25	85	2 0 2
22.37	61	0 2 0
37.84	53	1 3 1
33.00	49	0 0 4
40.24	44	0 2 4
30.73	37	1 1 3
59.10	25	2 0 6
56.79	19	1 3 5
19.91	17	1 1 1

Structure:
abc: 6.207 7.948 10.857
angles: 90.00 90.00 90.00
Space group Fmmm (No. 69)
Unique sites:
Zr: 0.250 0.250 0.250 [8 per cell]
Sn: 0.000 0.184 0.000 [8 per cell]
S: 0.000 0.000 0.321 [8 per cell]


[4]
This entry pairs a crystal structure of Pm6NdCd with its calculated XRD peak list. Radiation: copper Kα. Structure: the GGA-PBE geometry in Alexandria.
Neutral-atom scattering factors, no anomalous dispersion.

Top 8 peaks for 2θ = 5–70°, in order of falling intensity:
2θ (°)	I/Imax	index
30.55	100	1 1 4
35.83	33	2 0 0
61.13	28	3 1 4
50.66	24	2 0 8
34.60	18	0 0 8
59.51	15	1 1 12
63.59	12	2 2 8
51.57	12	2 2 0

Structure:
abc: 5.013 5.013 20.739
angles: 90.00 90.00 90.00
Space group I4/mmm (No. 139)
Unique sites:
Pm: 0.000 0.000 0.248 [4 per cell]
Pm: 0.000 0.500 0.122 [8 per cell]
Nd: 0.000 0.000 0.000 [2 per cell]
Cd: 0.000 0.000 0.500 [2 per cell]


[5]
This entry pairs a crystal structure of Li3Ni2H7 with its calculated XRD peak list. Radiation: copper Kα. Structure: the GGA-PBE geometry in Alexandria.
Neutral-atom scattering factors, no anomalous dispersion.

Top 10 peaks for 2θ = 5–70°, in order of falling intensity:
2θ (°)	I/Imax	index
10.15	100	0 2 0
39.66	71	1 1 1
27.88	71	1 1 0
20.38	69	0 4 0
37.81	54	1 5 0
27.64	51	0 0 1
41.84	39	0 6 1
47.47	37	1 5 1
34.59	32	0 4 1
30.78	31	0 6 0

Structure:
abc: 3.256 17.431 3.227
angles: 90.00 90.00 90.00
Space group Cmmm (No. 65)
Unique sites:
Li: 0.000 0.000 0.000 [2 per cell]
Li: 0.000 0.167 0.000 [4 per cell]
Ni: 0.000 0.406 0.500 [4 per cell]
H: 0.000 0.091 0.500 [4 per cell]
H: 0.000 0.315 0.500 [4 per cell]
H: 0.000 0.410 0.000 [4 per cell]
H: 0.000 0.500 0.500 [2 per cell]


[6]
This entry pairs a crystal structure of SmY4Mg with its calculated XRD peak list. Radiation: copper Kα. Structure: the GGA-PBE geometry in Alexandria.
Neutral-atom scattering factors, no anomalous dispersion.

Top 10 peaks for 2θ = 5–70°, in order of falling intensity:
2θ (°)	I/Imax	index
32.97	100	0 2 2
33.10	94	3 1 1
33.29	93	3 1 -3
31.38	85	0 0 4
51.36	41	3 3 -1
56.87	40	0 2 6
29.14	38	3 1 -1
61.57	35	6 0 2
43.20	25	3 1 3
61.32	24	3 3 3

Structure:
abc: 10.587 6.179 11.910
angles: 90.00 106.80 90.00
Space group C2/c (No. 15)
Unique sites:
Sm: 0.250 0.250 0.000 [4 per cell]
Y: 0.082 0.247 0.501 [8 per cell]
Y: 0.167 0.420 0.251 [8 per cell]
Mg: 0.000 0.079 0.750 [4 per cell]